This entry pairs a crystal structure of Tb6CeY8 with its simulated XRD peak list. Radiation: λ = 1.5418 Å (Cu Kα). Structure: a cell relaxed with PBE.
Kinematic intensities with the Lorentz-polarization factor, no thermal factor.

Principal peaks in the range 5° ≤ 2θ ≤ 70°, most intense first:
h k l, Position (°2θ), I/Imax
1 2 1, 32.0, 100
2 -1 2, 33.1, 97
3 0 0, 32.9, 63
2 0 1, 25.6, 38
1 2 0, 28.9, 31
5 -3 1, 50.6, 29
0 0 1, 13.4, 20
1 5 1, 65.1, 16
1 0 2, 29.2, 16
3 -1 2, 40.0, 16

Atomic structure:
Cell: 9.4367 9.4367 6.5948 Å, 90.00 90.00 120.00°
Space group P-3 (No. 147)
One atom of each set of equivalent atoms:
Tb: 0.0849 0.4067 0.4064 [6 per cell]
Ce: 0.0000 0.0000 0.5000 [1 per cell]
Y: 0.0268 0.6899 0.1013 [6 per cell]
Y: 0.3333 0.6667 0.8213 [2 per cell]